[1]
Starting from the PBE geometry in OQMD, the XRD peak list of ErCdInSe3 was simulated for Cu Kα X-rays.
Peak positions follow from Bragg's law for the DFT cell and can differ from measured ones.

Most intense lines, 10 to 90 degrees two-theta, in order of rising 2θ:
- hkl 0 2 0, 2θ 12.2, rel. 64
- hkl 1 3 1, 2θ 29.4, rel. 100
- hkl 0 0 4, 2θ 32.5, rel. 62
- hkl 1 3 2, 2θ 32.6, rel. 92
- hkl 0 6 2, 2θ 40.9, rel. 36
- hkl 1 5 2, 2θ 41.3, rel. 56
- hkl 2 0 0, 2θ 43.1, rel. 38
- hkl 1 3 5, 2θ 50.5, rel. 37

Cell and atoms:
a = 4.1958 Å, b = 14.4670 Å, c = 11.0185 Å
α = 90.00°, β = 90.00°, γ = 90.00°
Space group Cmcm (No. 63)
Unique sites:
Er (0.0000, 0.0000, 0.0000) [4 per cell]
Cd (0.0000, 0.4568, 0.2500) [4 per cell]
In (0.0000, 0.2519, 0.7500) [4 per cell]
Se (0.0000, 0.0747, 0.2500) [4 per cell]
Se (0.0000, 0.3664, 0.0439) [8 per cell]

[2]
Starting from the PBE geometry in OQMD, the XRD peak list of BaSi2Pd5 was simulated for Cu Kα X-rays.
Peak positions follow from Bragg's law for the DFT cell and can differ from measured ones.

Most intense lines, 10 to 90 degrees two-theta, in order of rising 2θ:
- hkl 0 2 2, 2θ 30.6, rel. 35
- hkl 1 0 3, 2θ 34.4, rel. 100
- hkl 1 2 1, 2θ 35.0, rel. 79
- hkl 0 2 4, 2θ 43.2, rel. 29
- hkl 1 3 0, 2θ 44.6, rel. 19
- hkl 2 0 0, 2θ 45.6, rel. 28
- hkl 1 2 5, 2θ 56.4, rel. 17
- hkl 2 2 4, 2θ 64.7, rel. 18

Cell and atoms:
a = 3.9756 Å, b = 7.0865 Å, c = 10.3688 Å
α = 90.00°, β = 90.00°, γ = 90.00°
Space group Immm (No. 71)
Unique sites:
Ba (0.0000, 0.0000, 0.0000) [2 per cell]
Si (0.0000, 0.5000, 0.2306) [4 per cell]
Pd (0.0000, 0.1933, 0.3384) [8 per cell]
Pd (0.0000, 0.5000, 0.0000) [2 per cell]

[3]
Starting from the PBE geometry in OQMD, the XRD peak list of NaAgS2O3 was simulated for Cu Kα X-rays.
Peak positions follow from Bragg's law for the DFT cell and can differ from measured ones.

Most intense lines, 10 to 90 degrees two-theta, in order of rising 2θ:
- hkl 1 0 0, 2θ 10.1, rel. 100
- hkl 0 1 1, 2θ 18.2, rel. 25
- hkl 2 0 0, 2θ 20.2, rel. 24
- hkl 2 1 1, 2θ 29.5, rel. 47
- hkl 3 1 -1, 2θ 33.0, rel. 57
- hkl 0 2 2, 2θ 37.0, rel. 45
- hkl 1 2 2, 2θ 40.1, rel. 24
- hkl 4 1 -1, 2θ 42.2, rel. 24

Cell and atoms:
a = 9.1423 Å, b = 6.0988 Å, c = 8.3751 Å
α = 90.00°, β = 105.82°, γ = 90.00°
Space group P2_1/c (No. 14)
Unique sites:
Na (0.0590, 0.1385, 0.3298) [4 per cell]
Ag (0.4422, 0.0132, 0.7802) [4 per cell]
S (0.1941, 0.6292, 0.5088) [4 per cell]
S (0.4019, 0.7122, 0.0343) [4 per cell]
O (0.0762, 0.6979, 0.9654) [4 per cell]
O (0.1787, 0.0227, 0.8664) [4 per cell]
O (0.1950, 0.5168, 0.6632) [4 per cell]